Diffraction record for GdFe4Cu3O12. The powder diffraction line list is computed, not measured: it uses a structure optimized by DFT (PBE+U) and copper Kα.
Kinematic intensities with the Lorentz-polarization factor, no thermal factor.

Main lines, in order of rising 2θ (2θ = 10–90°):
5.267 Å, rel. 13; 3.724 Å, rel. 5; 2.633 Å, rel. 100; 2.355 Å, rel. 10; 2.150 Å, rel. 5; 1.991 Å, rel. 10; 1.862 Å, rel. 23; 1.520 Å, rel. 47; 1.317 Å, rel. 11; 1.178 Å, rel. 16

Atomic structure:
```
data_GdFe4Cu3O12
_chemical_formula_sum 'Gd1 Fe4 Cu3 O12'
_cell_length_a 6.4505
_cell_length_b 6.4505
_cell_length_c 6.4505
_cell_angle_alpha 109.47
_cell_angle_beta 109.47
_cell_angle_gamma 109.47
_symmetry_space_group_name_H-M 'P 1'
_symmetry_Int_Tables_number 1
loop_
_symmetry_equiv_pos_as_xyz
'x,y,z'
loop_
_atom_site_label
_atom_site_type_symbol
_atom_site_fract_x
_atom_site_fract_y
_atom_site_fract_z
Gd1 Gd 0.0000 0.0000 0.0000
Fe1 Fe 0.0000 0.0000 0.5000
Fe2 Fe 0.0000 0.5000 0.0000
Fe3 Fe 0.5000 0.0000 0.0000
Fe4 Fe 0.5000 0.5000 0.5000
Cu1 Cu 0.0000 0.5000 0.5000
Cu2 Cu 0.5000 0.0000 0.5000
Cu3 Cu 0.5000 0.5000 0.0000
O1 O 0.1452 0.3095 0.8357
O2 O 0.1643 0.4738 0.3095
O3 O 0.1643 0.8548 0.6905
O4 O 0.3095 0.1643 0.4738
O5 O 0.3095 0.8357 0.1452
O6 O 0.4738 0.3095 0.1643
O7 O 0.5262 0.6905 0.8357
O8 O 0.6905 0.1643 0.8548
O9 O 0.6905 0.8357 0.5262
O10 O 0.8357 0.1452 0.3095
O11 O 0.8357 0.5262 0.6905
O12 O 0.8548 0.6905 0.1643
```